# Tl2SbMo
Calculated XRD peak list, Cu Kα (weighted mean of Kα1 and Kα2). Input: a structure optimized by DFT (PBE).
No peak broadening, texture or thermal motion is included.

Structure:
Cell lengths 3.3230, 3.3230, 9.0645 Å; angles 90.00, 90.00, 90.00 degrees
Space group P4mm (No. 99)
One atom of each set of equivalent atoms:
Tl: 0.0000 0.0000 0.0000
Tl: 0.5000 0.5000 0.2999
Sb: 0.5000 0.5000 0.6845
Mo: 0.0000 0.0000 0.5179

Largest 8 diffraction maxima, by angle, 10° ≤ 2θ ≤ 90°:
two_theta  intensity  index
28.6  27  1 0 1
29.6  18  0 0 3
33.4  100  1 0 2
38.3  45  1 1 0
49.1  19  1 1 3
55.3  16  2 0 0
57.9  14  1 0 5
66.2  28  2 1 2

=====

# V4SbMo
Calculated XRD peak list, Cu Kα (weighted mean of Kα1 and Kα2). Input: a structure optimized by DFT (PBE).
No peak broadening, texture or thermal motion is included.

Structure:
Cell lengths 4.3902, 9.1957, 4.4424 Å; angles 90.00, 90.00, 90.00 degrees
Space group Cmmm (No. 65)
One atom of each set of equivalent atoms:
V: 0.0000 0.1758 0.0000
V: 0.0000 0.3210 0.5000
Sb: 0.0000 0.0000 0.5000
Mo: 0.0000 0.5000 0.0000

Largest 8 diffraction maxima, by angle, 10° ≤ 2θ ≤ 90°:
two_theta  intensity  index
30.2  23  1 1 1
40.6  27  0 0 2
41.1  26  2 0 0
41.3  100  1 3 1
59.2  16  2 0 2
74.4  16  1 3 3
75.0  16  3 3 1
89.6  9  2 6 2

=====

# ZrSbMo4
Calculated XRD peak list, Cu Kα (weighted mean of Kα1 and Kα2). Input: a structure optimized by DFT (PBE).
No peak broadening, texture or thermal motion is included.

Structure:
Cell lengths 7.5773, 7.5773, 7.5773 Å; angles 90.00, 90.00, 90.00 degrees
Space group F-43m (No. 216)
One atom of each set of equivalent atoms:
Zr: 0.0000 0.0000 0.0000
Sb: 0.2500 0.2500 0.2500
Mo: 0.1247 0.1247 0.6247

Largest 8 diffraction maxima, by angle, 10° ≤ 2θ ≤ 90°:
two_theta  intensity  index
33.4  30  2 2 0
39.4  100  3 1 1
41.3  37  2 2 2
59.8  11  4 2 2
63.8  31  3 3 3
70.3  26  4 4 0
83.7  11  5 3 3
84.9  14  6 2 2